Mn3Se4O12: computed powder diffraction line list (Cu Kα X-rays), based on DFT lattice parameters and positions (PBE+U).
Intensities are scaled so that the largest is 100.

Main lines, by intensity (5° ≤ 2θ ≤ 70°):
23.87°, d 3.727, I 100, hkl 2 1 2
26.56°, d 3.356, I 71, hkl 1 1 -2
12.32°, d 7.186, I 57, hkl 1 0 0
34.66°, d 2.588, I 37, hkl 2 -1 2
21.95°, d 4.050, I 22, hkl 1 2 0
36.39°, d 2.469, I 21, hkl -1 2 2
26.33°, d 3.385, I 21, hkl 2 2 2
20.61°, d 4.309, I 21, hkl 0 1 2
19.64°, d 4.521, I 18, hkl 1 0 2
24.78°, d 3.593, I 15, hkl 2 0 0
33.41°, d 2.682, I 15, hkl 3 2 2
35.09°, d 2.557, I 14, hkl 1 1 4

Cell and atoms:
```
38
Lattice="8.368 0.000 0.000 3.933 7.528 0.000 3.481 1.400 9.532" Properties=species:S:1:pos:R:3 pbc="T T T"
Mn 0.000 0.000 0.000
Mn 1.740 0.700 4.766
Mn 4.063 5.541 2.638
Mn 2.385 2.725 1.707
Mn 13.397 6.204 7.825
Mn 11.719 3.387 6.894
Se 6.183 4.888 5.075
Se 7.878 5.726 9.022
Se 4.968 1.145 6.310
Se 6.995 7.318 1.662
Se 8.786 1.610 7.870
Se 10.813 7.784 3.223
Se 7.903 3.202 0.510
Se 9.598 4.040 4.457
O 4.767 4.919 6.065
O 7.093 7.258 8.616
O 3.500 1.933 5.574
O 2.456 0.876 2.932
O 4.652 2.192 7.777
O 3.992 4.122 1.191
O 5.468 6.649 1.028
O 6.655 6.567 5.123
O 6.665 4.805 8.304
O 5.602 4.683 3.455
O 3.417 1.101 0.657
O 6.258 1.920 5.626
O 9.524 7.009 3.906
O 12.364 7.828 8.875
O 10.180 4.245 6.077
O 9.116 4.124 1.228
O 9.126 2.362 4.409
O 10.314 2.280 8.505
O 11.790 4.807 8.341
O 11.130 6.737 1.755
O 13.326 8.052 6.600
O 12.281 6.995 3.958
O 8.688 1.671 0.917
O 11.015 4.009 3.468
```